[1]
Diffraction record for K2Cd3In5. The XRD peak list is calculated, not measured: it uses a cell relaxed with PBE and Cu Kα, 1.54184 Å.
Kinematic intensities with the Lorentz-polarization factor, no thermal factor.

Atomic structure:
a b c (Å): 4.869 4.869 12.905
angles (deg): 90.00 90.00 90.00
Space group P-4m2 (No. 115)
Asymmetric unit:
K  0.000  0.500  0.246 x2
Cd  0.000  0.000  0.000 x1
Cd  0.000  0.500  0.867 x2
In  0.000  0.000  0.500 x1
In  0.000  0.500  0.643 x2
In  0.500  0.500  0.000 x1
In  0.500  0.500  0.500 x1

Largest 10 diffraction maxima, by intensity, 10 to 90 degrees two-theta:
two_theta	I_rel	index
29.4	100	1 1 2
38.2	84	1 1 4
36.9	71	2 0 0
19.5	51	1 0 1
39.5	40	1 0 5
13.7	35	0 0 2
27.7	31	1 0 3
67.4	30	3 1 4
70.0	26	2 0 8
55.2	25	2 1 5

[2]
Diffraction record for Pm7Y16Er6. The XRD peak list is calculated, not measured: it uses a cell relaxed with PBE and Cu Kα, 1.54184 Å.
Kinematic intensities with the Lorentz-polarization factor, no thermal factor.

Atomic structure:
a b c (Å): 15.662 15.662 15.662
angles (deg): 90.00 90.00 90.00
Space group Fm-3m (No. 225)
Asymmetric unit:
Pm  0.000  0.000  0.000 x4
Pm  0.000  0.250  0.250 x24
Y  0.113  0.113  0.387 x32
Y  0.150  0.150  0.150 x32
Er  0.000  0.000  0.224 x24

Largest 10 diffraction maxima, by intensity, 10 to 90 degrees two-theta:
two_theta	I_rel	index
32.3	100	4 4 0
29.6	27	5 1 1
57.7	23	8 4 4
61.2	16	9 5 1
46.4	14	8 0 0
44.4	11	5 5 3
27.9	11	4 2 2
16.0	8	2 2 0
56.0	7	9 3 1
67.7	6	8 8 0

[3]
Diffraction record for W7Br. The XRD peak list is calculated, not measured: it uses a cell relaxed with PBE and Cu Kα, 1.54184 Å.
Kinematic intensities with the Lorentz-polarization factor, no thermal factor.

Atomic structure:
a b c (Å): 8.117 8.117 8.117
angles (deg): 90.00 90.00 90.00
Space group Fm-3m (No. 225)
Asymmetric unit:
W  0.000  0.000  0.000 x4
W  0.000  0.250  0.250 x24
Br  0.000  0.000  0.500 x4

Largest 10 diffraction maxima, by intensity, 10 to 90 degrees two-theta:
two_theta	I_rel	index
38.4	100	2 2 2
44.7	49	4 0 0
78.1	39	6 2 2
65.0	33	4 4 0
82.3	11	4 4 4
18.9	3	1 1 1
36.7	2	3 1 1
21.9	2	2 0 0
31.2	1	2 2 0
48.9	1	3 3 1

[4]
Diffraction record for Ga2Pd6Pt. The XRD peak list is calculated, not measured: it uses a cell relaxed with PBE and Cu Kα, 1.54184 Å.
Kinematic intensities with the Lorentz-polarization factor, no thermal factor.

Atomic structure:
a b c (Å): 4.102 10.687 12.507
angles (deg): 90.00 90.00 90.00
Space group Fmmm (No. 69)
Asymmetric unit:
Ga  0.000  0.000  0.152 x8
Pd  0.000  0.154  0.326 x16
Pd  0.000  0.168  0.000 x8
Pt  0.000  0.000  0.500 x4

Largest 10 diffraction maxima, by intensity, 10 to 90 degrees two-theta:
two_theta	I_rel	index
39.9	100	1 3 3
44.2	19	2 0 0
43.4	19	0 0 6
78.3	13	3 3 3
77.3	12	1 3 9
63.6	12	2 0 6
51.3	11	0 6 0
86.0	9	2 6 6
70.0	9	2 6 0
69.4	9	0 6 6

[5]
Diffraction record for Rb2PaSe3. The XRD peak list is calculated, not measured: it uses a cell relaxed with PBE and Cu Kα, 1.54184 Å.
Kinematic intensities with the Lorentz-polarization factor, no thermal factor.

Atomic structure:
a b c (Å): 9.543 12.993 26.608
angles (deg): 90.00 90.00 90.00
Space group Fddd (No. 70, origin choice 2)
Asymmetric unit:
Rb  0.125  0.125  0.049 x16
Rb  0.125  0.125  0.369 x16
Pa  0.125  0.125  0.540 x16
Se  0.068  0.375  0.875 x16
Se  0.103  0.350  0.719 x32

Largest 10 diffraction maxima, by intensity, 10 to 90 degrees two-theta:
two_theta	I_rel	index
27.5	100	0 4 0
39.2	46	2 4 6
12.0	37	1 1 1
64.1	16	2 8 6
47.3	15	4 4 0
37.7	12	4 0 0
49.8	11	0 4 12
40.7	10	0 0 12
23.1	10	2 2 0
56.7	9	0 8 0

[6]
Diffraction record for Ac2Mg5In5. The XRD peak list is calculated, not measured: it uses a cell relaxed with PBE and Cu Kα, 1.54184 Å.
Kinematic intensities with the Lorentz-polarization factor, no thermal factor.

Atomic structure:
a b c (Å): 4.794 6.198 11.038
angles (deg): 90.00 90.00 90.00
Space group Pmmm (No. 47)
Asymmetric unit:
Ac  0.000  0.000  0.000 x1
Ac  0.000  0.500  0.500 x1
Mg  0.500  0.000  0.500 x1
Mg  0.500  0.248  0.251 x4
In  0.000  0.000  0.330 x2
In  0.000  0.500  0.178 x2
In  0.500  0.500  0.000 x1

Largest 10 diffraction maxima, by intensity, 10 to 90 degrees two-theta:
two_theta	I_rel	index
33.9	100	1 1 3
18.5	44	1 0 0
28.2	43	0 1 3
34.5	33	1 2 0
28.8	32	0 2 0
24.8	27	1 1 1
54.4	26	1 3 3
37.5	23	2 0 0
47.6	23	2 1 3
48.0	16	2 2 0